Record 1
Calculated X-ray diffraction stick pattern
Compound: TbNdSm3Dy
Radiation: Cu Kα
Structure: a crystal structure in Alexandria, relaxed with PBE
Peak positions follow from Bragg's law for the DFT cell and can differ from measured ones.

Atomic structure:
```
data_TbNdSm3Dy
_chemical_formula_sum 'Tb4 Nd4 Sm12 Dy4'
_symmetry_space_group_name_H-M 'C m c m'
_symmetry_Int_Tables_number 63
_symmetry_space_group_name_Hall '-C 2c 2'
_cell_length_a 5.8845
_cell_length_b 11.4884
_cell_length_c 11.8446
_cell_angle_alpha 90.00
_cell_angle_beta 90.00
_cell_angle_gamma 90.00
loop_
_atom_site_label
_atom_site_type_symbol
_atom_site_fract_x
_atom_site_fract_y
_atom_site_fract_z
_atom_site_occupancy
Tb1 Tb 0.0000 0.1688 0.2500 1
Nd1 Nd 0.0000 0.4724 0.2500 1
Sm1 Sm 0.0000 0.1381 0.7500 1
Sm2 Sm 0.0000 0.3285 0.5275 1
Dy1 Dy 0.0000 0.0000 0.0000 1
```

The 10 most intense peaks (10 to 90 degrees two-theta), in order of falling intensity:
index  d (Å)  2θ (°)  I/Imax
1 3 2  2.822  31.7  1000
2 0 0  2.942  30.4  320
0 0 4  2.961  30.2  278
3 3 2  1.675  54.8  213
2 0 4  2.087  43.4  208
1 3 6  1.682  54.6  156
0 6 4  1.608  57.3  83
2 6 4  1.411  66.2  79
2 6 0  1.605  57.4  73
3 3 6  1.308  72.2  68



Record 2
Calculated X-ray diffraction stick pattern
Compound: Sr7Hg2Pd2
Radiation: Cu Kα
Structure: a crystal structure in Alexandria, relaxed with PBE
Peak positions follow from Bragg's law for the DFT cell and can differ from measured ones.

Atomic structure:
```
data_Sr7Hg2Pd2
_chemical_formula_sum 'Sr14 Hg4 Pd4'
_symmetry_space_group_name_H-M 'I m m 2'
_symmetry_Int_Tables_number 44
_cell_length_a 4.3888
_cell_length_b 17.1725
_cell_length_c 10.5365
_cell_angle_alpha 90.00
_cell_angle_beta 90.00
_cell_angle_gamma 90.00
loop_
_symmetry_equiv_pos_as_xyz
'x,y,z'
'-x,-y,z'
'-x,y,z'
'x,-y,z'
'x+1/2,y+1/2,z+1/2'
'-x+1/2,-y+1/2,z+1/2'
'-x+1/2,y+1/2,z+1/2'
'x+1/2,-y+1/2,z+1/2'
loop_
_atom_site_label
_atom_site_type_symbol
_atom_site_fract_x
_atom_site_fract_y
_atom_site_fract_z
_atom_site_occupancy
Sr1 Sr 0.0000 0.0000 0.0000 1
Sr2 Sr 0.0000 0.1208 0.4114 1
Sr3 Sr 0.0000 0.3124 0.6147 1
Sr4 Sr 0.0000 0.3576 0.2522 1
Hg1 Hg 0.0000 0.0000 0.6701 1
Hg2 Hg 0.0000 0.5000 0.7421 1
Pd1 Pd 0.0000 0.2400 0.9114 1
```

The 10 most intense peaks (10 to 90 degrees two-theta), in order of falling intensity:
index  d (Å)  2θ (°)  I/Imax
1 4 1  2.947  30.3  1000
1 2 3  2.612  34.3  453
0 3 3  2.994  29.8  345
0 2 2  4.490  19.8  316
0 6 2  2.516  35.7  307
1 3 2  2.905  30.8  299
2 0 0  2.194  41.1  259
1 1 2  3.309  26.9  254
1 0 1  4.051  21.9  215
1 6 3  1.982  45.8  190



Record 3
Calculated X-ray diffraction stick pattern
Compound: Ca2Mg4Bi3H2
Radiation: Cu Kα
Structure: a crystal structure in Alexandria, relaxed with PBE
Peak positions follow from Bragg's law for the DFT cell and can differ from measured ones.

Atomic structure:
```
data_Ca2Mg4Bi3H2
_chemical_formula_sum 'Ca4 Mg8 Bi6 H4'
_symmetry_space_group_name_H-M 'I 4/m m m'
_symmetry_Int_Tables_number 139
_symmetry_space_group_name_Hall '-I 4 2'
_cell_length_a 4.5642
_cell_length_b 4.5642
_cell_length_c 24.4835
_cell_angle_alpha 90.00
_cell_angle_beta 90.00
_cell_angle_gamma 90.00
loop_
_atom_site_label
_atom_site_type_symbol
_atom_site_fract_x
_atom_site_fract_y
_atom_site_fract_z
_atom_site_occupancy
Ca1 Ca 0.0000 0.0000 0.1924 1
Mg1 Mg 0.0000 0.5000 0.0834 1
Bi1 Bi 0.0000 0.0000 0.3265 1
Bi2 Bi 0.0000 0.0000 0.5000 1
H1 H 0.0000 0.0000 0.0932 1
```

The 10 most intense peaks (10 to 90 degrees two-theta), in order of falling intensity:
index  d (Å)  2θ (°)  I/Imax
1 1 6  2.531  35.5  1000
1 0 1  4.487  19.8  963
1 1 0  3.227  27.6  607
1 0 5  3.339  26.7  588
0 0 6  4.081  21.8  436
2 0 0  2.282  39.5  430
3 1 6  1.361  69.0  301
1 0 7  2.776  32.2  273
2 0 6  1.992  45.5  268
2 1 1  2.034  44.5  255



Record 4
Calculated X-ray diffraction stick pattern
Compound: YAu12
Radiation: Cu Kα
Structure: a crystal structure in Alexandria, relaxed with PBE
Peak positions follow from Bragg's law for the DFT cell and can differ from measured ones.

Atomic structure:
```
data_YAu12
_chemical_formula_sum 'Y4 Au48'
_symmetry_space_group_name_H-M 'F m -3 m'
_symmetry_Int_Tables_number 225
_symmetry_space_group_name_Hall '-F 4 2 3'
_cell_length_a 11.4053
_cell_length_b 11.4053
_cell_length_c 11.4053
_cell_angle_alpha 90.00
_cell_angle_beta 90.00
_cell_angle_gamma 90.00
loop_
_atom_site_label
_atom_site_type_symbol
_atom_site_fract_x
_atom_site_fract_y
_atom_site_fract_z
_atom_site_occupancy
Y1 Y 0.0000 0.0000 0.0000 1
Au1 Au 0.0000 0.1696 0.3304 1
```

The 10 most intense peaks (10 to 90 degrees two-theta), in order of falling intensity:
index  d (Å)  2θ (°)  I/Imax
3 3 3  2.195  41.1  1000
3 1 1  3.439  25.9  740
6 0 0  1.901  47.9  601
1 1 1  6.585  13.4  510
6 6 0  1.344  70.0  387
9 3 3  1.146  84.5  364
5 3 1  1.928  47.1  336
2 2 0  4.032  22.0  331
2 2 2  3.292  27.1  287
4 2 2  2.328  38.7  270



Record 5
Calculated X-ray diffraction stick pattern
Compound: YAlRh3
Radiation: Cu Kα
Structure: a crystal structure in Alexandria, relaxed with PBE
Peak positions follow from Bragg's law for the DFT cell and can differ from measured ones.

Atomic structure:
```
data_YAlRh3
_chemical_formula_sum 'Y1 Al1 Rh3'
_symmetry_space_group_name_H-M 'P m -3 m'
_symmetry_Int_Tables_number 221
_symmetry_space_group_name_Hall '-P 4 2 3'
_cell_length_a 4.5111
_cell_length_b 4.5111
_cell_length_c 4.5111
_cell_angle_alpha 90.00
_cell_angle_beta 90.00
_cell_angle_gamma 90.00
loop_
_atom_site_label
_atom_site_type_symbol
_atom_site_fract_x
_atom_site_fract_y
_atom_site_fract_z
_atom_site_occupancy
Y1 Y 0.0000 0.0000 0.0000 1
Al1 Al 0.5000 0.5000 0.5000 1
Rh1 Rh 0.0000 0.5000 0.5000 1
```

The 10 most intense peaks (10 to 90 degrees two-theta), in order of falling intensity:
index  d (Å)  2θ (°)  I/Imax
1 1 1  2.604  34.4  1000
2 0 0  2.256  40.0  643
2 2 0  1.595  57.8  426
3 1 1  1.360  69.1  378
2 2 2  1.302  72.6  142
4 0 0  1.128  86.2  68
1 0 0  4.511  19.7  40
2 1 0  2.017  44.9  17
3 0 0  1.504  61.7  9
4 1 0  1.094  89.6  5



Record 6
Calculated X-ray diffraction stick pattern
Compound: Y3ErSc
Radiation: Cu Kα
Structure: a crystal structure in Alexandria, relaxed with PBE
Peak positions follow from Bragg's law for the DFT cell and can differ from measured ones.

Atomic structure:
```
data_Y3ErSc
_chemical_formula_sum 'Y12 Er4 Sc4'
_symmetry_space_group_name_H-M 'P b c m'
_symmetry_Int_Tables_number 57
_cell_length_a 3.4930
_cell_length_b 17.2488
_cell_length_c 10.4656
_cell_angle_alpha 90.00
_cell_angle_beta 90.00
_cell_angle_gamma 90.00
loop_
_symmetry_equiv_pos_as_xyz
'x,y,z'
'-x,-y,-z'
'-x,-y,z+1/2'
'x,y,-z+1/2'
'x,-y+1/2,-z'
'-x,y+1/2,z'
'-x,y+1/2,-z+1/2'
'x,-y+1/2,z+1/2'
loop_
_atom_site_label
_atom_site_type_symbol
_atom_site_fract_x
_atom_site_fract_y
_atom_site_fract_z
_atom_site_occupancy
Y1 Y 0.2493 0.2500 0.0000 1
Y2 Y 0.2505 0.5766 0.0610 1
Er1 Er 0.2487 0.1033 0.7500 1
Sc1 Sc 0.2513 0.7281 0.2500 1
```

The 10 most intense peaks (10 to 90 degrees two-theta), in order of falling intensity:
index  d (Å)  2θ (°)  I/Imax
1 3 2  2.593  34.6  1000
0 2 3  3.234  27.6  423
1 1 1  3.254  27.4  420
0 6 0  2.874  31.1  375
0 4 3  2.712  33.0  231
0 2 1  6.656  13.3  223
1 5 1  2.390  37.6  160
1 1 5  1.786  51.2  157
2 0 0  1.746  52.4  142
0 0 4  2.616  34.3  141



Record 7
Calculated X-ray diffraction stick pattern
Compound: SrNb3O7
Radiation: Cu Kα
Structure: a crystal structure in Alexandria, relaxed with PBE
Peak positions follow from Bragg's law for the DFT cell and can differ from measured ones.

Atomic structure:
```
data_SrNb3O7
_chemical_formula_sum 'Sr2 Nb6 O14'
_symmetry_space_group_name_H-M 'C m m m'
_symmetry_Int_Tables_number 65
_symmetry_space_group_name_Hall '-C 2 2'
_cell_length_a 6.6535
_cell_length_b 12.1196
_cell_length_c 3.8632
_cell_angle_alpha 90.00
_cell_angle_beta 90.00
_cell_angle_gamma 90.00
loop_
_atom_site_label
_atom_site_type_symbol
_atom_site_fract_x
_atom_site_fract_y
_atom_site_fract_z
_atom_site_occupancy
Sr1 Sr 0.0000 0.0000 0.0000 1
Nb1 Nb 0.0000 0.2646 0.0000 1
Nb2 Nb 0.0000 0.5000 0.0000 1
O1 O 0.0000 0.2229 0.5000 1
O2 O 0.0000 0.5000 0.5000 1
O3 O 0.2312 0.3684 0.0000 1
```

The 10 most intense peaks (10 to 90 degrees two-theta), in order of falling intensity:
index  d (Å)  2θ (°)  I/Imax
0 0 1  3.863  23.0  1000
2 4 0  2.240  40.3  627
2 0 0  3.327  26.8  570
2 4 1  1.938  46.9  541
0 4 0  3.030  29.5  393
2 4 2  1.463  63.6  290
2 0 1  2.521  35.6  279
0 4 1  2.384  37.7  229
0 0 2  1.932  47.0  212
2 0 2  1.670  55.0  151



Record 8
Calculated X-ray diffraction stick pattern
Compound: Pm3AlGe6Pd2
Radiation: Cu Kα
Structure: a crystal structure in Alexandria, relaxed with PBE
Peak positions follow from Bragg's law for the DFT cell and can differ from measured ones.

Atomic structure:
```
data_Pm3AlGe6Pd2
_chemical_formula_sum 'Pm3 Al1 Ge6 Pd2'
_symmetry_space_group_name_H-M 'P -3 m 1'
_symmetry_Int_Tables_number 164
_symmetry_space_group_name_Hall '-P 3 2"'
_cell_length_a 5.9323
_cell_length_b 5.9323
_cell_length_c 8.3681
_cell_angle_alpha 90.00
_cell_angle_beta 90.00
_cell_angle_gamma 120.00
loop_
_atom_site_label
_atom_site_type_symbol
_atom_site_fract_x
_atom_site_fract_y
_atom_site_fract_z
_atom_site_occupancy
Pm1 Pm 0.0000 0.0000 0.0000 1
Pm2 Pm 0.3333 0.6667 0.6129 1
Al1 Al 0.0000 0.0000 0.5000 1
Ge1 Ge 0.1864 0.3728 0.2745 1
Pd1 Pd 0.3333 0.6667 0.0167 1
```

The 10 most intense peaks (10 to 90 degrees two-theta), in order of falling intensity:
index  d (Å)  2θ (°)  I/Imax
0 2 1  2.455  36.6  1000
1 1 2  2.420  37.2  771
1 1 0  2.966  30.1  677
2 0 2  2.189  41.2  419
0 0 3  2.791  32.1  356
0 1 2  3.244  27.5  325
2 2 0  1.483  62.6  299
1 1 3  2.032  44.6  268
0 3 2  1.585  58.2  237
1 1 5  1.458  63.9  227



Record 9
Calculated X-ray diffraction stick pattern
Compound: Sc2Fe3Ni
Radiation: Cu Kα
Structure: a crystal structure in Alexandria, relaxed with PBE
Peak positions follow from Bragg's law for the DFT cell and can differ from measured ones.

Atomic structure:
```
data_Sc2Fe3Ni
_chemical_formula_sum 'Sc6 Fe9 Ni3'
_symmetry_space_group_name_H-M 'R -3 m'
_symmetry_Int_Tables_number 166
_symmetry_space_group_name_Hall '-R 3 2"'
_cell_length_a 4.9039
_cell_length_b 4.9039
_cell_length_c 12.3135
_cell_angle_alpha 90.00
_cell_angle_beta 90.00
_cell_angle_gamma 120.00
loop_
_atom_site_label
_atom_site_type_symbol
_atom_site_fract_x
_atom_site_fract_y
_atom_site_fract_z
_atom_site_occupancy
Sc1 Sc 0.0000 0.0000 0.1244 1
Fe1 Fe 0.0000 0.5000 0.0000 1
Ni1 Ni 0.0000 0.0000 0.5000 1
```

The 10 most intense peaks (10 to 90 degrees two-theta), in order of falling intensity:
index  d (Å)  2θ (°)  I/Imax
1 1 3  2.105  43.0  1000
2 0 2  2.007  45.2  730
0 1 5  2.130  42.4  529
0 2 1  2.093  43.2  429
1 0 1  4.015  22.1  311
0 0 6  2.052  44.1  256
2 0 8  1.246  76.4  246
2 2 0  1.226  77.9  233
1 2 5  1.345  70.0  210
1 1 0  2.452  36.7  209



Record 10
Calculated X-ray diffraction stick pattern
Compound: BaNdGaAu
Radiation: Cu Kα
Structure: a crystal structure in Alexandria, relaxed with PBE
Peak positions follow from Bragg's law for the DFT cell and can differ from measured ones.

Atomic structure:
```
data_BaNdGaAu
_chemical_formula_sum 'Ba4 Nd4 Ga4 Au4'
_symmetry_space_group_name_H-M 'F -4 3 m'
_symmetry_Int_Tables_number 216
_symmetry_space_group_name_Hall 'F -4 2 3'
_cell_length_a 7.7713
_cell_length_b 7.7713
_cell_length_c 7.7713
_cell_angle_alpha 90.00
_cell_angle_beta 90.00
_cell_angle_gamma 90.00
loop_
_atom_site_label
_atom_site_type_symbol
_atom_site_fract_x
_atom_site_fract_y
_atom_site_fract_z
_atom_site_occupancy
Ba1 Ba 0.0000 0.0000 0.0000 1
Nd1 Nd 0.0000 0.0000 0.5000 1
Ga1 Ga 0.2500 0.2500 0.7500 1
Au1 Au 0.2500 0.2500 0.2500 1
```

The 10 most intense peaks (10 to 90 degrees two-theta), in order of falling intensity:
index  d (Å)  2θ (°)  I/Imax
2 2 0  2.748  32.6  1000
4 2 2  1.586  58.2  382
4 0 0  1.943  46.8  183
6 2 0  1.229  77.7  165
4 4 0  1.374  68.3  118
1 1 1  4.487  19.8  113
3 1 1  2.343  38.4  68
4 4 4  1.122  86.8  43
3 3 1  1.783  51.2  31
5 1 1  1.496  62.1  24



Record 11
Calculated X-ray diffraction stick pattern
Compound: SiAs2S6
Radiation: Cu Kα
Structure: a crystal structure in Alexandria, relaxed with PBE
Peak positions follow from Bragg's law for the DFT cell and can differ from measured ones.

Atomic structure:
```
data_SiAs2S6
_chemical_formula_sum 'Si2 As4 S12'
_symmetry_space_group_name_H-M 'P 42/m n m'
_symmetry_Int_Tables_number 136
_symmetry_space_group_name_Hall '-P 4n 2n'
_cell_length_a 5.7754
_cell_length_b 5.7754
_cell_length_c 10.8711
_cell_angle_alpha 90.00
_cell_angle_beta 90.00
_cell_angle_gamma 90.00
loop_
_atom_site_label
_atom_site_type_symbol
_atom_site_fract_x
_atom_site_fract_y
_atom_site_fract_z
_atom_site_occupancy
Si1 Si 0.0000 0.0000 0.0000 1
As1 As 0.0000 0.0000 0.3321 1
S1 S 0.1871 0.1871 0.1558 1
S2 S 0.2104 0.2104 0.5000 1
```

The 10 most intense peaks (10 to 90 degrees two-theta), in order of falling intensity:
index  d (Å)  2θ (°)  I/Imax
1 1 0  4.084  21.8  1000
2 1 3  2.103  43.0  785
1 1 3  2.711  33.0  486
3 0 3  1.700  53.9  426
2 2 0  2.042  44.4  293
1 0 3  3.070  29.1  293
2 1 0  2.583  34.7  185
0 0 6  1.812  50.4  149
2 2 6  1.355  69.3  143
1 1 6  1.656  55.5  142



Record 12
Calculated X-ray diffraction stick pattern
Compound: Pr6As5S
Radiation: Cu Kα
Structure: a crystal structure in Alexandria, relaxed with PBE
Peak positions follow from Bragg's law for the DFT cell and can differ from measured ones.

Atomic structure:
```
data_Pr6As5S
_chemical_formula_sum 'Pr12 As10 S2'
_symmetry_space_group_name_H-M 'C 1 2/m 1'
_symmetry_Int_Tables_number 12
_cell_length_a 7.4126
_cell_length_b 12.8320
_cell_length_c 7.4144
_cell_angle_alpha 90.00
_cell_angle_beta 109.44
_cell_angle_gamma 90.00
loop_
_symmetry_equiv_pos_as_xyz
'x,y,z'
'-x,-y,-z'
'-x,y,-z'
'x,-y,z'
'x+1/2,y+1/2,z'
'-x+1/2,-y+1/2,-z'
'-x+1/2,y+1/2,-z'
'x+1/2,-y+1/2,z'
loop_
_atom_site_label
_atom_site_type_symbol
_atom_site_fract_x
_atom_site_fract_y
_atom_site_fract_z
_atom_site_occupancy
Pr1 Pr 0.2492 0.0000 0.2492 1
Pr2 Pr 0.2496 0.1664 0.7496 1
As1 As 0.0000 0.1673 0.0000 1
As2 As 0.0000 0.3333 0.5000 1
As3 As 0.0000 0.5000 0.0000 1
S1 S 0.0000 0.0000 0.5000 1
```

The 10 most intense peaks (10 to 90 degrees two-theta), in order of falling intensity:
index  d (Å)  2θ (°)  I/Imax
1 3 1  3.026  29.5  1000
2 0 2  2.140  42.2  749
4 6 0  1.353  69.5  338
4 0 0  1.747  52.4  265
5 3 1  1.235  77.2  251
2 0 0  3.494  25.5  217
2 6 2  1.513  61.3  123
3 3 1  1.825  50.0  91
4 0 2  1.389  67.4  37
3 9 1  1.165  82.9  19



Record 13
Calculated X-ray diffraction stick pattern
Compound: La12Pr7Tm
Radiation: Cu Kα
Structure: a crystal structure in Alexandria, relaxed with PBE
Peak positions follow from Bragg's law for the DFT cell and can differ from measured ones.

Atomic structure:
```
data_La12Pr7Tm
_chemical_formula_sum 'La36 Pr21 Tm3'
_symmetry_space_group_name_H-M 'R -3'
_symmetry_Int_Tables_number 148
_symmetry_space_group_name_Hall '-R 3'
_cell_length_a 12.6787
_cell_length_b 12.6787
_cell_length_c 15.6254
_cell_angle_alpha 90.00
_cell_angle_beta 90.00
_cell_angle_gamma 120.00
loop_
_atom_site_label
_atom_site_type_symbol
_atom_site_fract_x
_atom_site_fract_y
_atom_site_fract_z
_atom_site_occupancy
La1 La 0.0241 0.5796 0.2232 1
La2 La 0.0678 0.4760 0.5767 1
Pr1 Pr 0.0000 0.0000 0.0000 1
Pr2 Pr 0.0605 0.8751 0.3020 1
Tm1 Tm 0.0000 0.0000 0.5000 1
```

The 10 most intense peaks (10 to 90 degrees two-theta), in order of falling intensity:
index  d (Å)  2θ (°)  I/Imax
1 3 1  2.991  29.9  1000
4 -1 2  2.840  31.5  831
0 1 5  3.006  29.7  207
5 2 0  1.758  52.0  188
0 2 4  3.183  28.0  169
1 4 6  1.763  51.9  127
5 -3 2  2.399  37.5  118
1 1 6  2.409  37.3  114
2 0 5  2.716  33.0  104
4 -1 5  2.180  41.4  96